For HfNi2Sn2, a crystal structure in Alexandria, relaxed with PBE gives the calculated X-ray powder pattern in this record (λ = 1.5418 Å (Cu Kα)).
Neutral-atom scattering factors, no anomalous dispersion.

Peak list (12 most intense, 10° ≤ 2θ ≤ 90°, most intense first)
hkl 1 1 3, 2θ = 40.68°, d 2.218, I = 100; hkl 1 1 0, 2θ = 28.71°, d 3.110, I = 35; hkl 0 2 0, 2θ = 40.50°, d 2.228, I = 26; hkl 2 0 0, 2θ = 41.59°, d 2.171, I = 24; hkl 0 0 3, 2θ = 28.21°, d 3.164, I = 18; hkl 1 3 3, 2θ = 73.79°, d 1.284, I = 17; hkl 2 2 0, 2θ = 59.45°, d 1.555, I = 17; hkl 3 1 3, 2θ = 75.28°, d 1.262, I = 16; hkl 2 2 6, 2θ = 88.09°, d 1.109, I = 11; hkl 1 0 1, 2θ = 22.51°, d 3.949, I = 9; hkl 0 2 6, 2θ = 73.42°, d 1.290, I = 8; hkl 0 0 6, 2θ = 58.34°, d 1.582, I = 8

Atomic structure:
```
data_HfNi2Sn2
_chemical_formula_sum 'Hf2 Ni4 Sn4'
_symmetry_space_group_name_H-M 'P m m n'
_symmetry_Int_Tables_number 59
_cell_length_a 4.343
_cell_length_b 4.455
_cell_length_c 9.491
_cell_angle_alpha 90.00
_cell_angle_beta 90.00
_cell_angle_gamma 90.00
loop_
_symmetry_equiv_pos_as_xyz
'x,y,z'
'-x,-y,-z'
'-x+1/2,-y+1/2,z'
'x+1/2,y+1/2,-z'
'x+1/2,-y,-z'
'-x+1/2,y,z'
'-x,y+1/2,-z'
'x,-y+1/2,z'
loop_
_atom_site_label
_atom_site_type_symbol
_atom_site_fract_x
_atom_site_fract_y
_atom_site_fract_z
Hf1 Hf 0.250 0.250 0.168
Ni1 Ni 0.250 0.750 0.332
Ni2 Ni 0.250 0.750 0.985
Sn1 Sn 0.250 0.250 0.489
Sn2 Sn 0.250 0.250 0.830
```